# DyEr2Tl4
Theoretical powder diffraction line list, copper Kα. Input: the PBE geometry in Alexandria.
Lines closer than 0.1° are merged.

Most intense lines, 2θ from 10° to 90°, low angle first:
- 33.95°, intensity 50.5, (2 2 0)
- 34.08°, intensity 100.0, (2 0 2)
- 48.77°, intensity 18.5, (4 0 0)
- 60.83°, intensity 38.5, (4 2 2)
- 61.10°, intensity 19.0, (2 2 4)
- 81.54°, intensity 17.0, (6 2 0)

Atomic structure:
```
data_DyEr2Tl4
_space_group_name_H-M_alt 'I 4/m m m'
_space_group_IT_number 139
_space_group_name_Hall '-I 4 2'
_cell_length_a 7.4695
_cell_length_b 7.4695
_cell_length_c 7.4107
_cell_angle_alpha 90.00
_cell_angle_beta 90.00
_cell_angle_gamma 90.00
loop_
_atom_site_label
_atom_site_type_symbol
_atom_site_fract_x
_atom_site_fract_y
_atom_site_fract_z
_atom_site_occupancy
Dy1 Dy 0.0000 0.0000 0.0000 1
Er1 Er 0.0000 0.5000 0.0000 1
Tl1 Tl 0.2500 0.2500 0.2500 1
```